No. 1
Calculated powder X-ray diffraction pattern of Cs2NaNdBr6 for copper Kα, from the PBE geometry in the Materials Project.
Peak positions follow from Bragg's law for the DFT cell and can differ from measured ones.

Cell and atoms:
```
data_Cs2NaNdBr6
_chemical_formula_sum 'Cs8 Na4 Nd4 Br24'
_symmetry_space_group_name_H-M 'F m -3 m'
_symmetry_Int_Tables_number 225
_symmetry_space_group_name_Hall '-F 4 2 3'
_cell_length_a 11.670
_cell_length_b 11.670
_cell_length_c 11.670
_cell_angle_alpha 90.00
_cell_angle_beta 90.00
_cell_angle_gamma 90.00
loop_
_atom_site_label
_atom_site_fract_x
_atom_site_fract_y
_atom_site_fract_z
Cs1 0.250 0.250 0.250
Na1 0.000 0.000 0.000
Nd1 0.000 0.000 0.500
Br1 0.000 0.000 0.252
```

Largest 10 diffraction maxima, by intensity, 2θ = 5–70°:
hkl	2θ (°)	Rel. int.
4 0 0	30.64	100
2 2 2	26.46	79
4 4 0	43.89	73
2 2 0	21.54	39
6 2 2	51.98	35
4 4 4	54.47	25
1 1 1	13.14	19
4 2 2	37.76	19
8 0 0	63.80	12
3 1 1	25.31	10

---

No. 2
Calculated powder X-ray diffraction pattern of Cs2NaSbBr6 for copper Kα, from the PBE geometry in the Materials Project.
Peak positions follow from Bragg's law for the DFT cell and can differ from measured ones.

Cell and atoms:
```
data_Cs2NaSbBr6
_chemical_formula_sum 'Cs8 Na4 Sb4 Br24'
_symmetry_space_group_name_H-M 'F m -3 m'
_symmetry_Int_Tables_number 225
_symmetry_space_group_name_Hall '-F 4 2 3'
_cell_length_a 11.553
_cell_length_b 11.553
_cell_length_c 11.553
_cell_angle_alpha 90.00
_cell_angle_beta 90.00
_cell_angle_gamma 90.00
loop_
_atom_site_label
_atom_site_fract_x
_atom_site_fract_y
_atom_site_fract_z
Cs1 0.250 0.250 0.250
Na1 0.000 0.000 0.000
Sb1 0.000 0.000 0.500
Br1 0.000 0.000 0.256
```

Largest 10 diffraction maxima, by intensity, 2θ = 5–70°:
hkl	2θ (°)	Rel. int.
4 0 0	30.96	100
2 2 2	26.73	90
4 4 0	44.35	72
6 2 2	52.54	39
2 2 0	21.76	35
4 4 4	55.07	25
1 1 1	13.27	16
4 2 2	38.16	16
8 0 0	64.53	12
6 4 2	59.91	9

---

No. 3
Calculated powder X-ray diffraction pattern of Cs2NaTaBr6 for copper Kα, from the PBE geometry in the Materials Project.
Peak positions follow from Bragg's law for the DFT cell and can differ from measured ones.

Cell and atoms:
```
data_Cs2NaTaBr6
_chemical_formula_sum 'Cs8 Na4 Ta4 Br24'
_symmetry_space_group_name_H-M 'F m -3 m'
_symmetry_Int_Tables_number 225
_symmetry_space_group_name_Hall '-F 4 2 3'
_cell_length_a 11.204
_cell_length_b 11.204
_cell_length_c 11.204
_cell_angle_alpha 90.00
_cell_angle_beta 90.00
_cell_angle_gamma 90.00
loop_
_atom_site_label
_atom_site_fract_x
_atom_site_fract_y
_atom_site_fract_z
Cs1 0.250 0.250 0.250
Na1 0.000 0.000 0.000
Ta1 0.000 0.000 0.500
Br1 0.000 0.000 0.264
```

Largest 10 diffraction maxima, by intensity, 2θ = 5–70°:
hkl	2θ (°)	Rel. int.
4 0 0	31.95	100
4 4 0	45.82	71
2 2 2	27.58	65
2 2 0	22.45	50
1 1 1	13.69	43
6 2 2	54.31	26
4 4 4	56.94	24
4 2 2	39.40	22
3 1 1	26.38	14
5 1 1	41.90	14

---

No. 4
Calculated powder X-ray diffraction pattern of CsPrNb6Br18 for copper Kα, from the PBE geometry in the Materials Project.
Peak positions follow from Bragg's law for the DFT cell and can differ from measured ones.

Cell and atoms:
```
data_CsPrNb6Br18
_chemical_formula_sum 'Cs2 Pr2 Nb12 Br36'
_symmetry_space_group_name_H-M 'P -3 1 c'
_symmetry_Int_Tables_number 163
_symmetry_space_group_name_Hall '-P 3 2c'
_cell_length_a 10.0080
_cell_length_b 10.0080
_cell_length_c 18.6941
_cell_angle_alpha 90.00
_cell_angle_beta 90.00
_cell_angle_gamma 120.00
loop_
_atom_site_label
_atom_site_fract_x
_atom_site_fract_y
_atom_site_fract_z
Cs1 0.3333 0.6667 0.2500
Pr1 0.3333 0.6667 0.7500
Nb1 0.0376 0.1866 0.9355
Br1 0.0453 0.2297 0.1583
Br2 0.0788 0.4421 0.8413
Br3 0.1388 0.4127 0.4994
```

Largest 10 diffraction maxima, by intensity, 2θ = 5–70°:
hkl	2θ (°)	Rel. int.
2 1 4	33.40	100
1 0 0	10.21	83
2 1 3	30.84	82
1 0 2	13.93	70
2 1 6	39.94	49
3 -1 2	28.88	44
2 -1 6	33.89	41
5 -1 1	48.37	39
2 1 5	36.48	39
2 -1 2	20.13	36

---

No. 5
Calculated powder X-ray diffraction pattern of Cs5Nb2S4Br9 for copper Kα, from the PBE geometry in the Materials Project.
Peak positions follow from Bragg's law for the DFT cell and can differ from measured ones.

Cell and atoms:
```
data_Cs5Nb2S4Br9
_chemical_formula_sum 'Cs10 Nb4 S8 Br18'
_symmetry_space_group_name_H-M 'I m m m'
_symmetry_Int_Tables_number 71
_symmetry_space_group_name_Hall '-I 2 2'
_cell_length_a 7.717
_cell_length_b 11.236
_cell_length_c 16.985
_cell_angle_alpha 90.00
_cell_angle_beta 90.00
_cell_angle_gamma 90.00
loop_
_atom_site_label
_atom_site_fract_x
_atom_site_fract_y
_atom_site_fract_z
Cs1 0.000 0.000 0.000
Cs2 0.000 0.277 0.339
Nb1 0.000 0.500 0.087
S1 0.230 0.410 0.000
Br1 0.000 0.256 0.127
Br2 0.000 0.500 0.500
Br3 0.240 0.500 0.204
```

Largest 10 diffraction maxima, by intensity, 2θ = 5–70°:
hkl	2θ (°)	Rel. int.
0 2 4	26.31	100
2 2 2	30.00	91
2 1 5	36.12	73
0 4 0	31.86	67
2 2 0	28.05	63
0 3 3	28.57	51
2 0 0	23.05	50
2 0 4	31.32	48
1 1 0	13.92	41
4 0 0	47.11	36

---

No. 6
Calculated powder X-ray diffraction pattern of CsSmNb6Br18 for copper Kα, from the PBE geometry in the Materials Project.
Peak positions follow from Bragg's law for the DFT cell and can differ from measured ones.

Cell and atoms:
```
data_CsSmNb6Br18
_chemical_formula_sum 'Cs2 Sm2 Nb12 Br36'
_symmetry_space_group_name_H-M 'P -3 1 c'
_symmetry_Int_Tables_number 163
_symmetry_space_group_name_Hall '-P 3 2c'
_cell_length_a 10.0531
_cell_length_b 10.0531
_cell_length_c 18.6681
_cell_angle_alpha 90.00
_cell_angle_beta 90.00
_cell_angle_gamma 120.00
loop_
_atom_site_label
_atom_site_fract_x
_atom_site_fract_y
_atom_site_fract_z
Cs1 0.3333 0.6667 0.2500
Sm1 0.3333 0.6667 0.7500
Nb1 0.0381 0.1859 0.9355
Br1 0.0461 0.2280 0.1580
Br2 0.0874 0.4441 0.8392
Br3 0.1367 0.4100 0.4995
```

Largest 10 diffraction maxima, by intensity, 2θ = 5–70°:
hkl	2θ (°)	Rel. int.
2 1 4	33.32	100
2 1 3	30.74	90
1 0 0	10.16	89
1 0 2	13.91	77
4 1 0	47.84	60
0 0 6	28.75	57
2 1 5	36.40	42
2 -1 6	33.88	42
5 -1 1	48.14	39
2 -1 2	20.06	39